# LiLaW2O8
Calculated X-ray diffraction stick pattern, Cu Ka. Input: DFT lattice parameters and positions (PBE+U).

Structure:
```
12
Lattice="-2.690 2.690 5.805 2.690 -2.690 5.805 2.690 2.690 -5.805" Properties=species:S:1:pos:R:3 pbc="T T T"
Li 0.000 0.000 0.000
La 0.000 2.690 2.903
W 2.690 0.000 2.903
W 0.000 0.000 5.805
O 4.004 -0.815 1.928
O 1.876 -1.314 3.877
O 1.868 1.409 -1.006
O 1.377 0.815 1.928
O 1.281 -0.822 6.811
O 3.505 1.314 3.877
O 0.822 1.281 4.799
O 1.409 3.513 1.006
```

Main lines, most intense first (15° ≤ 2θ ≤ 90°):
two_theta, d (Å), I_rel
28.04, 3.182, 100
18.17, 4.882, 41
46.00, 1.973, 31
56.34, 1.633, 28
33.30, 2.690, 21
74.23, 1.278, 20
53.10, 1.725, 17
28.41, 3.142, 16